Tb4GaBr5: theoretical powder diffraction line list (Cu Kα), based on a DFT-relaxed cell (GGA-PBE, Alexandria).
Intensities are scaled so that the largest is 100.

Cell and atoms:
```
Tb4GaBr5
1.0
9.1649 -2.0431 0.0000
9.1649 2.0431 0.0000
-1.8174 0.0000 8.2223
Tb Ga Br
4 1 5
Cartesian
-0.4052 0.0000 1.8719 Tb
16.9177 0.0000 6.3503 Tb
4.6967 0.0000 7.5669 Tb
11.8158 0.0000 0.6553 Tb
9.1649 0.0000 0.0000 Ga
2.4600 0.0000 2.7141 Br
1.6462 0.0000 6.8943 Br
8.2562 0.0000 4.1111 Br
14.8663 0.0000 1.3279 Br
14.0525 0.0000 5.5081 Br
```

Principal peaks in the range 2θ = 10–90°, low angle first:
- d = 8.222 Å, 10.76 deg, I 46
- d = 5.493 Å, 16.14 deg, I 9
- d = 3.262 Å, 27.34 deg, I 9
- d = 2.994 Å, 29.84 deg, I 10
- d = 2.983 Å, 29.95 deg, I 49
- d = 2.932 Å, 30.49 deg, I 100
- d = 2.103 Å, 43.02 deg, I 54
- d = 2.081 Å, 43.49 deg, I 34
- d = 2.043 Å, 44.34 deg, I 19
- d = 1.731 Å, 52.88 deg, I 9
- d = 1.685 Å, 54.44 deg, I 20
- d = 1.466 Å, 63.45 deg, I 11



K3Tc2AgO8: theoretical powder diffraction line list (Cu Kα), based on a DFT-relaxed cell (GGA-PBE, Alexandria).
Intensities are scaled so that the largest is 100.

Cell and atoms:
```
K3Tc2AgO8
1.0
6.0818 0.0000 0.0000
-3.0409 5.2670 0.0000
0.0000 0.0000 7.8640
K Tc Ag O
3 2 1 8
Cartesian
0.0000 0.0000 0.0000 K
0.0000 3.5113 5.1519 K
3.0409 1.7557 2.7122 K
0.0000 3.5113 1.6434 Tc
3.0409 1.7557 6.2207 Tc
0.0000 0.0000 3.9320 Ag
0.0000 1.8389 2.3193 O
-1.4484 4.3475 2.3193 O
0.0000 3.5113 7.7385 O
1.5925 0.9195 5.5447 O
1.4484 4.3475 2.3193 O
3.0409 1.7557 0.1255 O
4.4893 0.9195 5.5447 O
3.0409 3.4281 5.5447 O
```

Principal peaks in the range 2θ = 10–90°, low angle first:
- d = 4.376 Å, 20.29 deg, I 74
- d = 3.151 Å, 28.32 deg, I 79
- d = 3.041 Å, 29.37 deg, I 100
- d = 2.347 Å, 38.36 deg, I 15
- d = 2.188 Å, 41.26 deg, I 46
- d = 1.930 Å, 47.09 deg, I 15
- d = 1.776 Å, 51.45 deg, I 27
- d = 1.756 Å, 52.09 deg, I 18
- d = 1.575 Å, 58.59 deg, I 11
- d = 1.520 Å, 60.93 deg, I 17
- d = 1.398 Å, 66.91 deg, I 11
- d = 1.369 Å, 68.52 deg, I 12